Entry 1:
Starting from the GGA-PBE geometry in Alexandria, the powder X-ray diffraction pattern of La6As3I2 was simulated for CuKα.
Neutral-atom scattering factors, no anomalous dispersion.

Structural model:
Lattice parameters (Å, degrees): 7.5940 7.5940 7.8683 99.34 99.34 119.85
Element x y z (fractional)
La: 0.0930 0.4201 0.7819
La: 0.2311 0.2311 0.2104
La: 0.4201 0.0930 0.7819
La: 0.5799 0.9070 0.2181
La: 0.7689 0.7689 0.7896
La: 0.9070 0.5799 0.2181
As: 0.1719 0.8281 0.0000
As: 0.5000 0.5000 0.0000
As: 0.8281 0.1719 0.0000
I: 0.3355 0.6645 0.5000
I: 0.6645 0.3355 0.5000

Principal peaks in the range 2θ = 15–90°, in order of rising 2θ:
2θ/deg  I_rel
24.75  9.3
28.41  100.0
40.08  33.5
41.15  38.4
50.76  19.6
58.84  7.1
65.78  7.7
67.21  5.5
67.33  6.1
74.22  7.2

***

Entry 2:
Starting from the GGA-PBE geometry in Alexandria, the powder X-ray diffraction pattern of CdSe was simulated for CuKα.
Neutral-atom scattering factors, no anomalous dispersion.

Structural model:
Lattice parameters (Å, degrees): 7.6204 7.6204 7.6204 90.00 90.00 90.00
Element x y z (fractional)
Cd: 0.0000 0.2500 0.5000
Cd: 0.0000 0.7500 0.5000
Cd: 0.2500 0.5000 0.0000
Cd: 0.5000 0.0000 0.2500
Cd: 0.5000 0.0000 0.7500
Cd: 0.7500 0.5000 0.0000
Se: 0.0000 0.5000 0.2500
Se: 0.0000 0.5000 0.7500
Se: 0.2500 0.0000 0.5000
Se: 0.5000 0.2500 0.0000
Se: 0.5000 0.7500 0.0000
Se: 0.7500 0.0000 0.5000

Principal peaks in the range 2θ = 15–90°, in order of rising 2θ:
2θ/deg  I_rel
16.45  100.0
23.35  21.9
28.70  51.9
33.25  17.5
37.32  25.5
41.03  58.3
44.48  30.6
47.74  27.9
69.82  17.3
84.30  21.0